V2Ir5W: theoretical XRD peak list (Cu Kα, 1.54184 Å), based on DFT lattice parameters and positions (PBE).
Intensities are scaled so that the largest is 100.

Crystal structure
Unit cell a=5.456 b=10.919 c=3.866 alpha=90.00 beta=90.00 gamma=90.00
Space group Pbam (No. 55)
One atom of each set of equivalent atoms:
V  0.240  0.128  0.000
Ir  0.000  0.000  0.500
Ir  0.007  0.749  0.500
Ir  0.246  0.376  0.000
W  0.000  0.500  0.500

Top 10 peaks for 15 to 90 degrees two-theta, in order of rising 2θ:
hkl, 2theta, I_rel
1 2 0, 23.0, 16
1 2 1, 32.8, 13
0 4 1, 40.5, 100
0 0 2, 47.1, 49
3 2 0, 53.0, 7
3 2 1, 58.6, 5
2 4 2, 68.8, 31
0 4 3, 82.8, 13
2 8 1, 83.0, 25
0 8 2, 87.5, 11